# 1
The following is a simulated XRD peak list of Li6SiIr2. It was derived from a crystal structure in Alexandria, relaxed with GGA-PBE, using CuKα.

Peak list (6 most intense, 2θ from 15° to 90°, in order of rising 2θ)
24.25°, I 100; 25.55°, I 73; 38.06°, I 42; 41.29°, I 43; 41.90°, I 45; 51.10°, I 43

Structure:
abc: 7.372 7.372 2.923
angles: 94.18 94.18 122.82
Sites, in units of the cell vectors:
Li 0.004 0.652 0.666
Li 0.185 0.185 0.860
Li 0.348 0.996 0.334
Li 0.652 0.004 0.666
Li 0.815 0.815 0.140
Li 0.996 0.348 0.334
Si 0.500 0.500 0.500
Ir 0.358 0.642 0.000
Ir 0.642 0.358 0.000


# 2
The following is a simulated XRD peak list of Li5Co24. It was derived from a crystal structure in Alexandria, relaxed with GGA-PBE, using CuKα.

Peak list (6 most intense, 2θ from 15° to 90°, in order of rising 2θ)
25.09°, I 29; 41.54°, I 14; 44.19°, I 100; 49.14°, I 44; 53.75°, I 46; 81.31°, I 24

Structure:
abc: 7.531 7.531 7.531
angles: 109.47 109.47 109.47
Sites, in units of the cell vectors:
Li 0.000 0.000 0.000
Li 0.000 0.000 0.360
Li 0.000 0.360 0.000
Li 0.360 0.000 0.000
Li 0.640 0.640 0.640
Co 0.000 0.320 0.601
Co 0.000 0.601 0.320
Co 0.000 0.622 0.809
Co 0.000 0.809 0.622
Co 0.186 0.378 0.378
Co 0.191 0.191 0.814
Co 0.191 0.814 0.191
Co 0.281 0.680 0.680
Co 0.320 0.000 0.601
Co 0.320 0.601 0.000
Co 0.378 0.186 0.378
Co 0.378 0.378 0.186
Co 0.399 0.399 0.719
Co 0.399 0.719 0.399
Co 0.601 0.000 0.320
Co 0.601 0.320 0.000
Co 0.622 0.000 0.809
Co 0.622 0.809 0.000
Co 0.680 0.281 0.680
Co 0.680 0.680 0.281
Co 0.719 0.399 0.399
Co 0.809 0.000 0.622
Co 0.809 0.622 0.000
Co 0.814 0.191 0.191


# 3
The following is a simulated XRD peak list of Pm3Dy2Er7. It was derived from a crystal structure in Alexandria, relaxed with GGA-PBE, using CuKα.

Peak list (6 most intense, 2θ from 15° to 90°, in order of rising 2θ)
31.06°, I 35; 31.34°, I 100; 31.93°, I 47; 33.46°, I 34; 34.90°, I 38; 54.64°, I 30

Structure:
abc: 5.788 3.550 18.687
angles: 90.00 93.10 90.00
Sites, in units of the cell vectors:
Pm 0.000 0.000 0.000
Pm 0.278 0.500 0.633
Pm 0.722 0.500 0.367
Dy 0.210 0.000 0.292
Dy 0.790 0.000 0.708
Er 0.190 0.500 0.143
Er 0.243 0.000 0.462
Er 0.308 0.000 0.825
Er 0.500 0.500 0.000
Er 0.692 0.000 0.175
Er 0.757 0.000 0.538
Er 0.810 0.500 0.857


# 4
The following is a simulated XRD peak list of GaCoGePt. It was derived from a crystal structure in Alexandria, relaxed with GGA-PBE, using CuKα.

Peak list (6 most intense, 2θ from 15° to 90°, in order of rising 2θ)
28.12°, I 61; 29.27°, I 30; 43.57°, I 100; 44.37°, I 42; 51.21°, I 33; 68.27°, I 31

Structure:
abc: 3.715 2.747 6.101
angles: 90.00 90.10 90.00
Sites, in units of the cell vectors:
Ga 0.000 0.000 0.000
Co 0.999 0.500 0.662
Ge 0.498 0.000 0.565
Pt 0.501 0.500 0.204


# 5
The following is a simulated XRD peak list of Na2LaSiO5. It was derived from a crystal structure in Alexandria, relaxed with GGA-PBE, using CuKα.

Peak list (6 most intense, 2θ from 15° to 90°, in order of rising 2θ)
16.14°, I 43; 18.44°, I 48; 23.55°, I 57; 30.07°, I 44; 30.69°, I 100; 46.10°, I 40

Structure:
abc: 9.625 7.555 6.686
angles: 90.00 90.00 90.00
Sites, in units of the cell vectors:
Na 0.184 0.037 0.110
Na 0.184 0.463 0.110
Na 0.316 0.537 0.610
Na 0.316 0.963 0.610
Na 0.684 0.037 0.390
Na 0.684 0.463 0.390
Na 0.816 0.537 0.890
Na 0.816 0.963 0.890
La 0.041 0.250 0.630
La 0.459 0.750 0.130
La 0.541 0.250 0.870
La 0.959 0.750 0.370
Si 0.087 0.750 0.820
Si 0.413 0.250 0.320
Si 0.587 0.750 0.680
Si 0.913 0.250 0.180
O 0.024 0.250 0.995
O 0.064 0.576 0.675
O 0.064 0.924 0.675
O 0.215 0.750 0.275
O 0.250 0.250 0.405
O 0.250 0.750 0.905
O 0.285 0.250 0.775
O 0.436 0.076 0.175
O 0.436 0.424 0.175
O 0.476 0.750 0.495
O 0.524 0.250 0.505
O 0.564 0.576 0.825
O 0.564 0.924 0.825
O 0.715 0.750 0.225
O 0.750 0.250 0.095
O 0.750 0.750 0.595
O 0.785 0.250 0.725
O 0.936 0.076 0.325
O 0.936 0.424 0.325
O 0.976 0.750 0.005


# 6
The following is a simulated XRD peak list of MnTl2Se2. It was derived from a crystal structure in Alexandria, relaxed with GGA-PBE, using CuKα.

Peak list (6 most intense, 2θ from 15° to 90°, in order of rising 2θ)
21.67°, I 60; 28.15°, I 55; 30.02°, I 100; 30.26°, I 98; 31.77°, I 65; 33.34°, I 51

Structure:
abc: 9.684 7.452 8.224
angles: 90.00 94.26 90.00
Sites, in units of the cell vectors:
Mn 0.121 0.075 0.157
Mn 0.121 0.425 0.657
Mn 0.879 0.575 0.343
Mn 0.879 0.925 0.843
Tl 0.173 0.611 0.047
Tl 0.173 0.889 0.547
Tl 0.437 0.244 0.511
Tl 0.437 0.256 0.011
Tl 0.563 0.744 0.989
Tl 0.563 0.756 0.489
Tl 0.827 0.111 0.453
Tl 0.827 0.389 0.953
Se 0.085 0.150 0.846
Se 0.085 0.350 0.346
Se 0.348 0.585 0.706
Se 0.348 0.915 0.206
Se 0.652 0.085 0.794
Se 0.652 0.415 0.294
Se 0.915 0.650 0.654
Se 0.915 0.850 0.154


# 7
The following is a simulated XRD peak list of BaCaAs2. It was derived from a crystal structure in Alexandria, relaxed with GGA-PBE, using CuKα.

Peak list (6 most intense, 2θ from 15° to 90°, in order of rising 2θ)
20.87°, I 34; 27.98°, I 41; 33.55°, I 100; 35.17°, I 18; 44.26°, I 23; 53.14°, I 22

Structure:
abc: 5.338 6.377 7.055
angles: 90.00 90.00 90.00
Sites, in units of the cell vectors:
Ba 0.000 0.000 0.000
Ba 0.500 0.500 0.500
Ca 0.000 0.000 0.500
Ca 0.500 0.500 0.000
As 0.000 0.500 0.187
As 0.000 0.500 0.813
As 0.500 0.000 0.313
As 0.500 0.000 0.687